Structure and theoretical X-ray powder pattern of SrTa2O7 (a crystal structure in Alexandria, relaxed with GGA-PBE; copper Kα).
Kinematic intensities with the Lorentz-polarization factor, no thermal factor.

Principal peaks in the range 2θ = 10–90°, sorted by position:
Position (°2θ)  intensity
19.20  34
22.31  71
29.60  100
31.76  52
45.54  32
55.25  37

Cell and atoms:
Unit cell a=3.9841 b=3.9841 c=9.2453 alpha=90.00 beta=90.00 gamma=90.00
Positions (direct):
Sr: 0.0000 0.0000 0.0000
Ta: 0.5000 0.5000 0.2219
Ta: 0.5000 0.5000 0.7781
O: 0.0000 0.5000 0.1989
O: 0.0000 0.5000 0.8011
O: 0.5000 0.0000 0.1989
O: 0.5000 0.0000 0.8011
O: 0.5000 0.5000 0.0000
O: 0.5000 0.5000 0.4274
O: 0.5000 0.5000 0.5726